KZnMoF6: calculated XRD peak list (Cu Kα), based on the PBE+U geometry in Alexandria.

Top 10 peaks for 2θ from 10° to 90°, in order of falling intensity:
2θ/deg	Rel. int.
27.1	100
14.0	84
14.3	71
28.9	70
28.2	44
47.4	41
27.7	37
27.0	28
56.0	25
42.8	22

Structural model:
```
data_KZnMoF6
_chemical_formula_sum 'K2 Zn2 Mo2 F12'
_cell_length_a 7.682
_cell_length_b 7.682
_cell_length_c 7.682
_cell_angle_alpha 121.79
_cell_angle_beta 119.32
_cell_angle_gamma 89.05
_space_group_name_H-M_alt 'P 1'
_space_group_IT_number 1
loop_
_space_group_symop_operation_xyz
'x,y,z'
loop_
_atom_site_label
_atom_site_fract_x
_atom_site_fract_y
_atom_site_fract_z
K1 0.301 0.051 0.250
K2 0.699 0.949 0.750
Zn1 0.000 0.000 0.500
Zn2 0.000 0.500 0.000
Mo1 0.000 0.500 0.500
Mo2 0.500 0.500 0.000
F1 0.057 0.403 0.227
F2 0.057 0.807 0.250
F3 0.057 0.830 0.654
F4 0.324 0.170 0.727
F5 0.324 0.597 0.154
F6 0.327 0.577 0.750
F7 0.673 0.423 0.250
F8 0.676 0.403 0.846
F9 0.676 0.830 0.273
F10 0.943 0.170 0.346
F11 0.943 0.193 0.750
F12 0.943 0.597 0.773
```